Computed powder XRD pattern of LiPaCrS4 for CuKα, from a DFT-relaxed cell (GGA-PBE, Alexandria).
Lines closer than 0.1° are merged.

Main lines, low angle first (2θ from 15° to 90°):
| d/Å | two_theta | I (rel.) | hkl |
| --- | --- | --- | --- |
| 5.062 | 17.52 | 38 | 0 0 2 |
| 3.350 | 26.61 | 100 | 1 2 1 |
| 3.065 | 29.14 | 50 | 1 0 3 |
| 2.718 | 32.95 | 95 | 2 2 0 |
| 2.531 | 35.47 | 41 | 0 0 4 |
| 2.446 | 36.75 | 46 | 1 2 3 |
| 2.395 | 37.56 | 28 | 2 2 2 |
| 2.048 | 44.22 | 30 | 3 2 1 |
| 1.852 | 49.19 | 61 | 2 2 4 |
| 1.777 | 51.41 | 24 | 3 2 3 |

Structure:
Cell: 7.322 8.117 10.125 Å, 90.00 90.00 90.00°
Space group Imma (No. 74)
Inequivalent atoms, fractional coordinates:
Li1 0.000 0.250 0.154
Pa1 0.000 0.000 0.500
Cr1 0.250 0.250 0.750
S1 0.000 0.044 0.760
S2 0.240 0.250 0.499

=====

Computed powder XRD pattern of LiPaCr2Se6 for CuKα, from a DFT-relaxed cell (GGA-PBE, Alexandria).
Lines closer than 0.1° are merged.

Main lines, low angle first (2θ from 15° to 90°):
| d/Å | two_theta | I (rel.) | hkl |
| --- | --- | --- | --- |
| 5.471 | 16.20 | 48 | 1 0 1 |
| 4.835 | 18.35 | 26 | 0 1 2 |
| 3.529 | 25.23 | 22 | 1 0 4 |
| 3.037 | 29.41 | 14 | 0 1 5 |
| 2.899 | 30.84 | 100 | 1 1 3 |
| 2.417 | 37.19 | 15 | 0 2 4 |
| 2.218 | 40.68 | 65 | 2 -1 6 |
| 2.156 | 41.90 | 14 | 3 -1 1 |
| 1.915 | 47.47 | 40 | 3 0 0 |
| 1.705 | 53.76 | 19 | 2 -1 9 |

Structure:
Cell: 6.6351 6.6351 17.8907 Å, 90.00 90.00 120.00°
Space group R3 (No. 146, hexagonal axes)
Inequivalent atoms, fractional coordinates:
Li1 0.0000 0.0000 0.0000
Pa1 0.0000 0.0000 0.4978
Cr1 0.0000 0.0000 0.3103
Cr2 0.0000 0.0000 0.8100
Se1 0.0027 0.3621 0.0638
Se2 0.0087 0.6314 0.5673

=====

Computed powder XRD pattern of Li2CrPt for CuKα, from a DFT-relaxed cell (GGA-PBE, Alexandria).
Lines closer than 0.1° are merged.

Main lines, low angle first (2θ from 15° to 90°):
| d/Å | two_theta | I (rel.) | hkl |
| --- | --- | --- | --- |
| 4.526 | 19.61 | 100 | 0 0 2 |
| 4.004 | 22.20 | 49 | 0 1 1 |
| 2.764 | 32.39 | 19 | 1 0 1 |
| 2.500 | 35.92 | 14 | 0 1 3 |
| 2.434 | 36.94 | 40 | 1 1 0 |
| 2.263 | 39.83 | 19 | 0 0 4 |
| 2.233 | 40.40 | 19 | 0 2 0 |
| 2.143 | 42.16 | 66 | 1 1 2 |
| 2.002 | 45.29 | 23 | 0 2 2 |
| 1.657 | 55.45 | 25 | 1 1 4 |

Structure:
Cell: 2.903 4.465 9.052 Å, 90.00 90.00 90.00°
Space group Immm (No. 71)
Inequivalent atoms, fractional coordinates:
Li1 0.000 0.000 0.237
Cr1 0.000 0.500 0.000
Pt1 0.000 0.500 0.500

=====

Computed powder XRD pattern of LiCrRh3 for CuKα, from a DFT-relaxed cell (GGA-PBE, Alexandria).
Lines closer than 0.1° are merged.

Main lines, low angle first (2θ from 15° to 90°):
| d/Å | two_theta | I (rel.) | hkl |
| --- | --- | --- | --- |
| 5.460 | 16.23 | 92 | 4 0 0 |
| 3.640 | 24.45 | 61 | 6 0 0 |
| 2.325 | 38.74 | 45 | 1 1 -1 |
| 2.231 | 40.42 | 90 | 3 1 -1 |
| 2.225 | 40.55 | 87 | 2 0 2 |
| 2.184 | 41.34 | 85 | 10 0 0 |
| 2.126 | 42.53 | 47 | 4 0 -2 |
| 2.070 | 43.73 | 100 | 5 1 -1 |
| 2.048 | 44.22 | 90 | 5 1 1 |
| 1.858 | 49.03 | 61 | 7 1 1 |

Structure:
Cell: 21.846 2.716 4.569 Å, 90.00 91.41 90.00°
Space group C2/m (No. 12)
Inequivalent atoms, fractional coordinates:
Li1 0.249 0.000 0.258
Cr1 0.061 0.000 0.265
Rh1 0.038 0.500 0.755
Rh2 0.149 0.000 0.599
Rh3 0.149 0.500 0.091

=====

Computed powder XRD pattern of LiCrRh2 for CuKα, from a DFT-relaxed cell (GGA-PBE, Alexandria).
Lines closer than 0.1° are merged.

Main lines, low angle first (2θ from 15° to 90°):
| d/Å | two_theta | I (rel.) | hkl |
| --- | --- | --- | --- |
| 3.863 | 23.03 | 100 | 2 0 -1 |
| 2.626 | 34.14 | 36 | 1 1 0 |
| 2.532 | 35.46 | 29 | 2 0 1 |
| 2.348 | 38.33 | 49 | 1 1 -1 |
| 2.174 | 41.53 | 65 | 4 0 0 |
| 2.104 | 42.99 | 91 | 1 1 1 |
| 2.065 | 43.85 | 43 | 0 0 2 |
| 2.030 | 44.64 | 77 | 3 1 -1 |
| 1.931 | 47.05 | 35 | 4 0 -2 |
| 1.163 | 83.02 | 32 | 1 1 3 |

Structure:
Cell: 9.488 2.755 4.504 Å, 90.00 113.55 90.00°
Space group Cm (No. 8)
Inequivalent atoms, fractional coordinates:
Li1 0.000 0.000 0.000
Cr1 0.263 0.500 0.417
Rh1 0.007 0.500 0.497
Rh2 0.250 0.000 0.913

=====

Computed powder XRD pattern of LiCrSbRu for CuKα, from a DFT-relaxed cell (GGA-PBE, Alexandria).
Lines closer than 0.1° are merged.

Main lines, low angle first (2θ from 15° to 90°):
| d/Å | two_theta | I (rel.) | hkl |
| --- | --- | --- | --- |
| 3.587 | 24.82 | 45 | 1 1 1 |
| 3.106 | 28.74 | 7 | 2 0 0 |
| 2.197 | 41.09 | 100 | 2 2 0 |
| 1.873 | 48.60 | 22 | 3 1 1 |
| 1.553 | 59.52 | 16 | 4 0 0 |
| 1.425 | 65.49 | 9 | 3 3 1 |
| 1.389 | 67.41 | 2 | 4 2 0 |
| 1.268 | 74.87 | 32 | 4 2 2 |
| 1.196 | 80.30 | 7 | 5 1 1 |
| 1.098 | 89.16 | 10 | 4 4 0 |

Structure:
Cell: 6.213 6.213 6.213 Å, 90.00 90.00 90.00°
Space group F-43m (No. 216)
Inequivalent atoms, fractional coordinates:
Li1 0.000 0.000 0.000
Cr1 0.250 0.250 0.250
Sb1 0.250 0.250 0.750
Ru1 0.000 0.000 0.500

=====

What is the formula in the second record? LiPaCr2Se6